(1)
Simulated powder XRD pattern
Compound: Ta2Ti7Nb2
Radiation: copper Kα
Structure: DFT lattice parameters and positions (PBE)

Atomic structure:
```
11
Lattice="4.724 0.000 0.000 0.000 7.514 0.000 -0.019 0.000 5.668" Properties=species:S:1:pos:R:3 pbc="T T T"
Ta -0.001 0.000 1.435
Ta 4.706 0.000 4.233
Ti 0.000 2.385 0.000
Ti -0.010 2.497 2.834
Ti -0.010 5.017 2.834
Ti 0.000 5.129 0.000
Ti 2.362 0.000 0.000
Ti 2.352 1.286 2.834
Ti 2.352 6.228 2.834
Nb 2.355 3.757 1.372
Nb 2.349 3.757 4.296
```

Most intense lines, 2θ = 10–80°, sorted by position:
- (0 1 0), 11.78°, I 42.4
- (1 1 0), 22.23°, I 100.0
- (0 2 0), 23.68°, I 59.7
- (2 0 0), 38.10°, I 72.4
- (1 1 -2), 38.90°, I 93.0
- (1 1 2), 39.01°, I 92.2
- (0 2 2), 39.84°, I 72.6
- (1 3 0), 40.78°, I 93.9

***

(2)
Simulated powder XRD pattern
Compound: Ta2Ti2Nb3
Radiation: copper Kα
Structure: DFT lattice parameters and positions (PBE)

Atomic structure:
```
7
Lattice="3.318 0.000 0.000 1.614 5.133 0.000 0.018 1.153 7.362" Properties=species:S:1:pos:R:3 pbc="T T T"
Ta 0.830 0.556 1.029
Ta 4.119 5.730 6.332
Ti 0.828 2.687 5.258
Ti 4.121 3.599 2.103
Nb 2.464 4.755 4.187
Nb 2.466 2.567 0.000
Nb 2.485 1.530 3.174
```

Most intense lines, 2θ = 10–80°, sorted by position:
- (0 0 1), 12.02°, I 23.0
- (0 1 0), 17.49°, I 29.3
- (0 1 3), 38.19°, I 53.0
- (1 0 2), 38.34°, I 50.8
- (1 1 -2), 38.56°, I 100.0
- (1 2 1), 38.80°, I 49.1
- (0 2 -1), 39.33°, I 46.8
- (2 1 0), 55.38°, I 17.5

***

(3)
Simulated powder XRD pattern
Compound: Ta6Nb3V
Radiation: copper Kα
Structure: DFT lattice parameters and positions (PBE)

Atomic structure:
```
20
Lattice="8.083 0.000 0.000 0.000 4.653 0.000 -2.705 0.000 9.485" Properties=species:S:1:pos:R:3 pbc="T T T"
Ta -0.685 1.163 3.792
Ta 0.707 3.490 1.861
Ta -0.588 1.163 9.476
Ta 2.030 1.163 2.822
Ta 0.696 3.490 7.679
Ta 1.996 1.163 5.747
Ta 3.381 3.490 3.738
Ta 4.682 1.163 1.806
Ta 3.347 3.490 6.663
Ta 5.965 3.490 0.009
Ta 4.670 1.163 7.624
Ta 6.063 3.490 5.693
Nb -2.037 3.490 8.547
Nb -0.671 1.163 6.656
Nb 0.701 3.490 4.731
Nb 4.676 1.163 4.754
Nb 6.048 3.490 2.829
Nb 7.414 1.163 0.938
V 3.361 3.490 0.945
V 2.016 1.163 8.541
```

Most intense lines, 2θ = 10–80°, sorted by position:
- (1 1 -2), 27.09°, I 13.2
- (0 2 0), 38.65°, I 100.0
- (1 1 3), 38.74°, I 49.6
- (2 2 -4), 55.86°, I 25.8
- (1 3 -2), 63.20°, I 3.5
- (6 0 -2), 69.86°, I 12.8
- (3 3 -1), 70.00°, I 17.3
- (1 3 3), 70.11°, I 21.3